For Rb2VCoO4, the GGA+U geometry in Alexandria gives the calculated powder diffraction line list in this record (Cu Kα X-rays).
Lines closer than 0.1° are merged.

Cell and atoms:
```
16
Lattice="0.000 6.067 10.415 2.466 0.000 10.415 2.466 6.067 0.000" Properties=species:S:1:pos:R:3 pbc="T T T"
Rb 1.850 4.550 0.967
Rb 3.083 7.583 6.174
Rb 1.850 4.550 14.656
Rb 3.083 7.583 19.863
V 1.850 4.550 7.811
V 3.083 7.583 13.019
Co 0.617 1.517 2.604
Co 4.316 10.617 18.226
O 2.932 3.511 6.829
O 2.932 5.589 8.793
O 4.165 6.544 14.001
O 4.165 8.623 12.037
O 0.768 3.511 8.793
O 0.768 5.589 6.829
O 2.001 6.544 12.037
O 2.001 8.623 14.001
```

Largest 10 diffraction maxima, low angle first, 2θ = 15–90°:
- 2θ = 23.30°, I 47
- 2θ = 29.45°, I 41
- 2θ = 29.65°, I 100
- 2θ = 31.37°, I 51
- 2θ = 35.90°, I 26
- 2θ = 39.44°, I 39
- 2θ = 45.09°, I 34
- 2θ = 52.35°, I 27
- 2θ = 54.77°, I 33
- 2θ = 67.80°, I 19